Computed powder X-ray diffraction pattern
Compound: La2SiPd6Pb
Radiation: CuKα
Structure: the PBE geometry in Alexandria
Kinematic intensities with the Lorentz-polarization factor, no thermal factor.

Largest 8 diffraction maxima, by intensity, 10° ≤ 2θ ≤ 90°:
d/Å	I (rel.)
2.228	100.0
3.237	93.9
2.361	91.4
2.223	79.2
2.376	68.4
1.618	60.9
3.107	45.7
2.720	44.4

Atomic structure:
a b c (Å): 5.6241 8.8909 8.6891
angles (deg): 90.00 90.00 90.00
Element x y z (fractional)
La 0.2500 0.0062 0.2429
La 0.2500 0.4938 0.2429
La 0.7500 0.5062 0.7571
La 0.7500 0.9938 0.7571
Si 0.2500 0.7500 0.7237
Si 0.7500 0.2500 0.2763
Pd 0.0013 0.2500 0.5045
Pd 0.0068 0.7500 0.9480
Pd 0.2500 0.5034 0.6002
Pd 0.2500 0.9966 0.6002
Pd 0.4932 0.7500 0.9480
Pd 0.4987 0.2500 0.5045
Pd 0.5013 0.7500 0.4955
Pd 0.5068 0.2500 0.0520
Pd 0.7500 0.0034 0.3998
Pd 0.7500 0.4966 0.3998
Pd 0.9932 0.2500 0.0520
Pd 0.9987 0.7500 0.4955
Pb 0.2500 0.2500 0.7892
Pb 0.7500 0.7500 0.2108

***

Computed powder X-ray diffraction pattern
Compound: LaTmPdPb
Radiation: CuKα
Structure: the PBE geometry in Alexandria
Kinematic intensities with the Lorentz-polarization factor, no thermal factor.

Largest 8 diffraction maxima, by intensity, 10° ≤ 2θ ≤ 90°:
d/Å	I (rel.)
2.660	100.0
1.536	37.8
1.881	18.2
1.190	16.6
1.330	11.7
4.344	5.6
2.269	3.5
1.726	1.6

Atomic structure:
a b c (Å): 7.5248 7.5248 7.5248
angles (deg): 90.00 90.00 90.00
Element x y z (fractional)
La 0.0000 0.0000 0.0000
La 0.0000 0.5000 0.5000
La 0.5000 0.0000 0.5000
La 0.5000 0.5000 0.0000
Tm 0.0000 0.0000 0.5000
Tm 0.0000 0.5000 0.0000
Tm 0.5000 0.0000 0.0000
Tm 0.5000 0.5000 0.5000
Pd 0.2500 0.2500 0.2500
Pd 0.2500 0.7500 0.7500
Pd 0.7500 0.2500 0.7500
Pd 0.7500 0.7500 0.2500
Pb 0.2500 0.2500 0.7500
Pb 0.2500 0.7500 0.2500
Pb 0.7500 0.2500 0.2500
Pb 0.7500 0.7500 0.7500

***

Computed powder X-ray diffraction pattern
Compound: La3Zn2Pd9Pb
Radiation: CuKα
Structure: the PBE geometry in Alexandria
Kinematic intensities with the Lorentz-polarization factor, no thermal factor.

Largest 8 diffraction maxima, by intensity, 10° ≤ 2θ ≤ 90°:
d/Å	I (rel.)
2.294	100.0
2.426	45.9
1.921	33.3
3.842	30.5
4.587	30.5
4.059	29.9
1.430	23.9
2.337	22.3

Atomic structure:
a b c (Å): 5.7184 5.7184 12.1755
angles (deg): 90.00 90.00 120.00
Element x y z (fractional)
La 0.0000 0.0000 0.0000
La 0.3333 0.6667 0.7524
La 0.6667 0.3333 0.2476
Zn 0.3333 0.6667 0.1597
Zn 0.6667 0.3333 0.8403
Pd 0.0000 0.5000 0.0000
Pd 0.1666 0.3331 0.3173
Pd 0.1666 0.8334 0.3173
Pd 0.3331 0.1666 0.6827
Pd 0.5000 0.0000 0.0000
Pd 0.5000 0.5000 0.0000
Pd 0.6669 0.8334 0.3173
Pd 0.8334 0.1666 0.6827
Pd 0.8334 0.6669 0.6827
Pb 0.0000 0.0000 0.5000

***

Computed powder X-ray diffraction pattern
Compound: La5PmPb3
Radiation: CuKα
Structure: the PBE geometry in Alexandria
Kinematic intensities with the Lorentz-polarization factor, no thermal factor.

Largest 8 diffraction maxima, by intensity, 10° ≤ 2θ ≤ 90°:
d/Å	I (rel.)
2.868	100.0
2.844	81.5
1.651	32.7
2.020	30.8
1.484	27.7
1.656	19.9
2.211	17.1
1.281	14.1

Atomic structure:
a b c (Å): 9.9365 9.9365 6.9381
angles (deg): 90.00 90.00 120.00
Element x y z (fractional)
La 0.0000 0.3323 0.2500
La 0.0000 0.6677 0.7500
La 0.3323 0.0000 0.2500
La 0.3323 0.3323 0.7500
La 0.3333 0.6667 0.0000
La 0.3333 0.6667 0.5000
La 0.6667 0.3333 0.0000
La 0.6667 0.3333 0.5000
La 0.6677 0.0000 0.7500
La 0.6677 0.6677 0.2500
Pm 0.0000 0.0000 0.0000
Pm 0.0000 0.0000 0.5000
Pb 0.0000 0.3328 0.7500
Pb 0.0000 0.6672 0.2500
Pb 0.3328 0.0000 0.7500
Pb 0.3328 0.3328 0.2500
Pb 0.6672 0.0000 0.2500
Pb 0.6672 0.6672 0.7500